(1)
Structure and calculated powder diffractogram of Sb2Te (a DFT-relaxed cell (GGA-PBE, the Materials Project); Cu Ka).

Largest 10 diffraction maxima, most intense first, 2θ from 10° to 90°:
- 27.97 deg, d = 3.190 Å, intensity 100
- 38.53 deg, d = 2.336 Å, intensity 37
- 41.36 deg, d = 2.183 Å, intensity 36
- 50.67 deg, d = 1.802 Å, intensity 19
- 67.40 deg, d = 1.389 Å, intensity 16
- 63.40 deg, d = 1.467 Å, intensity 13
- 57.80 deg, d = 1.595 Å, intensity 11
- 73.54 deg, d = 1.288 Å, intensity 11
- 75.42 deg, d = 1.260 Å, intensity 6
- 45.80 deg, d = 1.981 Å, intensity 6

Lattice parameters (Å, degrees): 4.3658 4.3658 17.8303 90.00 90.00 120.00
Element x y z (fractional)
1 Sb 0.0000 0.0000 0.1520
2 Sb 0.0000 0.0000 0.8480
3 Sb 0.3333 0.6667 0.0655
4 Sb 0.3333 0.6667 0.3894
5 Sb 0.6667 0.3333 0.6106
6 Sb 0.6667 0.3333 0.9345
7 Te 0.0000 0.0000 0.5000
8 Te 0.3333 0.6667 0.7060
9 Te 0.6667 0.3333 0.2940

---

(2)
Structure and calculated powder diffractogram of Sb2Te3 (a DFT-relaxed cell (GGA-PBE, the Materials Project); Cu Ka).

Largest 10 diffraction maxima, most intense first, 2θ from 10° to 90°:
- 28.60 deg, d = 3.121 Å, intensity 100
- 27.41 deg, d = 3.253 Å, intensity 75
- 28.41 deg, d = 3.142 Å, intensity 65
- 45.07 deg, d = 2.012 Å, intensity 36
- 34.41 deg, d = 2.606 Å, intensity 33
- 36.91 deg, d = 2.436 Å, intensity 29
- 50.86 deg, d = 1.795 Å, intensity 29
- 41.97 deg, d = 2.153 Å, intensity 28
- 44.41 deg, d = 2.040 Å, intensity 23
- 34.89 deg, d = 2.571 Å, intensity 21

Lattice parameters (Å, degrees): 8.3291 8.3291 9.8899 94.94 94.94 29.96
Element x y z (fractional)
1 Sb 0.0258 0.0258 0.2909
2 Sb 0.2362 0.2362 0.6939
3 Sb 0.7638 0.7638 0.3061
4 Sb 0.9742 0.9742 0.7091
5 Te 0.1681 0.1681 0.1323
6 Te 0.3578 0.3578 0.4972
7 Te 0.4333 0.4333 0.1432
8 Te 0.5667 0.5667 0.8568
9 Te 0.6422 0.6422 0.5028
10 Te 0.8319 0.8319 0.8677

---

(3)
Structure and calculated powder diffractogram of Sb2Te3 (a DFT-relaxed cell (GGA-PBE, the Materials Project); Cu Ka).

Largest 10 diffraction maxima, most intense first, 2θ from 10° to 90°:
- 30.78 deg, d = 2.904 Å, intensity 100
- 31.27 deg, d = 2.860 Å, intensity 69
- 32.24 deg, d = 2.777 Å, intensity 46
- 45.53 deg, d = 1.992 Å, intensity 35
- 50.10 deg, d = 1.821 Å, intensity 30
- 39.79 deg, d = 2.266 Å, intensity 23
- 55.35 deg, d = 1.660 Å, intensity 19
- 39.52 deg, d = 2.281 Å, intensity 18
- 51.23 deg, d = 1.783 Å, intensity 18
- 35.11 deg, d = 2.556 Å, intensity 14

Lattice parameters (Å, degrees): 9.1628 9.1628 5.7357 103.74 103.74 36.38
Element x y z (fractional)
1 Sb 0.0095 0.0095 0.2535
2 Sb 0.1775 0.1775 0.7587
3 Sb 0.8225 0.8225 0.2413
4 Sb 0.9905 0.9905 0.7465
5 Te 0.1907 0.1907 0.2639
6 Te 0.3784 0.3784 0.3132
7 Te 0.3838 0.3838 0.8111
8 Te 0.6162 0.6162 0.1889
9 Te 0.6216 0.6216 0.6868
10 Te 0.8093 0.8093 0.7361

---

(4)
Structure and calculated powder diffractogram of SbTe (a DFT-relaxed cell (GGA-PBE, the Materials Project); Cu Ka).

Largest 10 diffraction maxima, most intense first, 2θ from 10° to 90°:
- 27.80 deg, d = 3.209 Å, intensity 100
- 41.50 deg, d = 2.176 Å, intensity 36
- 37.86 deg, d = 2.376 Å, intensity 35
- 50.69 deg, d = 1.801 Å, intensity 19
- 67.52 deg, d = 1.387 Å, intensity 16
- 62.38 deg, d = 1.489 Å, intensity 10
- 57.42 deg, d = 1.605 Å, intensity 10
- 73.30 deg, d = 1.291 Å, intensity 10
- 75.72 deg, d = 1.256 Å, intensity 6
- 44.38 deg, d = 2.041 Å, intensity 5

Lattice parameters (Å, degrees): 4.3515 4.3515 24.4922 90.00 90.00 120.00
Element x y z (fractional)
1 Sb 0.0000 0.0000 0.1313
2 Sb 0.0000 0.0000 0.8687
3 Sb 0.3333 0.6667 0.4682
4 Sb 0.3333 0.6667 0.7072
5 Sb 0.6667 0.3333 0.2928
6 Sb 0.6667 0.3333 0.5318
7 Te 0.0000 0.0000 0.3627
8 Te 0.0000 0.0000 0.6373
9 Te 0.3333 0.6667 0.2123
10 Te 0.3333 0.6667 0.9378
11 Te 0.6667 0.3333 0.0622
12 Te 0.6667 0.3333 0.7877

---

(5)
Structure and calculated powder diffractogram of Sb2Te3 (a DFT-relaxed cell (GGA-PBE, the Materials Project); Cu Ka).

Largest 10 diffraction maxima, most intense first, 2θ from 10° to 90°:
- 30.49 deg, d = 2.932 Å, intensity 100
- 42.28 deg, d = 2.138 Å, intensity 77
- 28.58 deg, d = 3.123 Å, intensity 37
- 62.40 deg, d = 1.488 Å, intensity 24
- 54.19 deg, d = 1.693 Å, intensity 19
- 71.03 deg, d = 1.327 Å, intensity 16
- 68.02 deg, d = 1.378 Å, intensity 16
- 63.46 deg, d = 1.466 Å, intensity 12
- 88.17 deg, d = 1.108 Å, intensity 10
- 84.39 deg, d = 1.148 Å, intensity 9

Lattice parameters (Å, degrees): 3.3853 3.3853 15.6172 90.00 90.00 120.00
Element x y z (fractional)
1 Sb 0.0000 0.0000 0.2029
2 Sb 0.0000 0.0000 0.7971
3 Te 0.0000 0.0000 0.0000
4 Te 0.0000 0.0000 0.3886
5 Te 0.0000 0.0000 0.6114

---

(6)
Structure and calculated powder diffractogram of Sb2Te3 (a DFT-relaxed cell (GGA-PBE, the Materials Project); Cu Ka).

Largest 10 diffraction maxima, most intense first, 2θ from 10° to 90°:
- 27.71 deg, d = 3.220 Å, intensity 100
- 41.69 deg, d = 2.166 Å, intensity 36
- 37.38 deg, d = 2.406 Å, intensity 33
- 50.80 deg, d = 1.797 Å, intensity 18
- 67.74 deg, d = 1.383 Å, intensity 15
- 57.22 deg, d = 1.610 Å, intensity 9
- 73.25 deg, d = 1.292 Å, intensity 9
- 61.67 deg, d = 1.504 Å, intensity 9
- 44.67 deg, d = 2.029 Å, intensity 9
- 69.21 deg, d = 1.357 Å, intensity 9

Lattice parameters (Å, degrees): 4.3328 4.3328 31.3489 90.00 90.00 120.00
Element x y z (fractional)
1 Sb 0.0000 0.0000 0.1033
2 Sb 0.0000 0.0000 0.8967
3 Sb 0.3333 0.6667 0.5634
4 Sb 0.3333 0.6667 0.7699
5 Sb 0.6667 0.3333 0.2301
6 Sb 0.6667 0.3333 0.4366
7 Te 0.0000 0.0000 0.2846
8 Te 0.0000 0.0000 0.5000
9 Te 0.0000 0.0000 0.7154
10 Te 0.3333 0.6667 0.1667
11 Te 0.3333 0.6667 0.3820
12 Te 0.3333 0.6667 0.9513
13 Te 0.6667 0.3333 0.0487
14 Te 0.6667 0.3333 0.6180
15 Te 0.6667 0.3333 0.8333

---

(7)
Structure and calculated powder diffractogram of Sb2Te3 (a DFT-relaxed cell (GGA-PBE, the Materials Project); Cu Ka).

Largest 10 diffraction maxima, most intense first, 2θ from 10° to 90°:
- 28.28 deg, d = 3.155 Å, intensity 100
- 29.94 deg, d = 2.985 Å, intensity 51
- 34.40 deg, d = 2.607 Å, intensity 24
- 36.79 deg, d = 2.443 Å, intensity 22
- 38.22 deg, d = 2.355 Å, intensity 21
- 46.09 deg, d = 1.969 Å, intensity 17
- 48.00 deg, d = 1.896 Å, intensity 17
- 42.54 deg, d = 2.125 Å, intensity 15
- 47.43 deg, d = 1.917 Å, intensity 12
- 51.11 deg, d = 1.787 Å, intensity 11

Lattice parameters (Å, degrees): 6.6399 6.6399 7.6521 101.76 101.76 79.59
Element x y z (fractional)
1 Sb 0.0754 0.3285 0.1625
2 Sb 0.3285 0.0754 0.6625
3 Sb 0.6715 0.9246 0.3375
4 Sb 0.9246 0.6715 0.8375
5 Te 0.1017 0.8983 0.2500
6 Te 0.2708 0.4809 0.5419
7 Te 0.4809 0.2708 0.0419
8 Te 0.5191 0.7292 0.9581
9 Te 0.7292 0.5191 0.4581
10 Te 0.8983 0.1017 0.7500

---

(8)
Structure and calculated powder diffractogram of SbTe (a DFT-relaxed cell (GGA-PBE, the Materials Project); Cu Ka).

Largest 6 diffraction maxima, most intense first, 2θ from 10° to 90°:
- 33.11 deg, d = 2.706 Å, intensity 100
- 59.14 deg, d = 1.562 Å, intensity 37
- 47.52 deg, d = 1.913 Å, intensity 18
- 79.15 deg, d = 1.210 Å, intensity 16
- 69.48 deg, d = 1.353 Å, intensity 11
- 88.51 deg, d = 1.105 Å, intensity 4

Lattice parameters (Å, degrees): 3.8266 3.8266 3.8266 90.00 90.00 90.00
Element x y z (fractional)
1 Sb 0.0000 0.0000 0.0000
2 Te 0.5000 0.5000 0.5000